# 1
Diffraction record for Sr10Mg5Mo2W3O30. The XRD peak list is theoretical, not measured: it uses a DFT-relaxed cell (PBE+U, the Materials Project) and a wavelength of 1.5418 Å.
Kinematic intensities with the Lorentz-polarization factor, no thermal factor.

Cell and atoms:
Cell: 5.650 5.661 20.507 Å, 82.31 82.10 89.89°
Space group P-1 (No. 2)
Inequivalent atoms, fractional coordinates:
Sr: 0.049 0.049 0.400
Sr: 0.151 0.151 0.199
Sr: 0.249 0.249 0.000
Sr: 0.351 0.351 0.801
Sr: 0.449 0.449 0.600
Mg: 0.000 0.500 0.500
Mg: 0.200 0.700 0.100
Mg: 0.400 0.900 0.700
Mo: 0.300 0.800 0.900
W: 0.100 0.600 0.300
W: 0.500 0.000 0.500
O: 0.027 0.591 0.899
O: 0.036 0.565 0.397
O: 0.092 0.075 0.895
O: 0.108 0.124 0.705
O: 0.163 0.635 0.203
O: 0.174 0.609 0.701
O: 0.226 0.791 0.499
O: 0.237 0.765 0.997
O: 0.292 0.276 0.495
O: 0.308 0.324 0.305
O: 0.363 0.835 0.804
O: 0.374 0.809 0.301
O: 0.427 0.991 0.099
O: 0.437 0.965 0.597
O: 0.492 0.475 0.095

Main lines, in order of rising 2θ (10° ≤ 2θ ≤ 90°):
| hkl | d [Å] | 2theta | intensity |
| --- | --- | --- | --- |
| 0 1 -2 | 4.628 | 19.18 | 54 |
| 1 -1 5 | 2.842 | 31.48 | 49 |
| 2 0 1 | 2.830 | 31.61 | 100 |
| 1 0 -7 | 2.426 | 37.06 | 7 |
| 1 -2 2 | 2.417 | 37.20 | 11 |
| 2 1 4 | 2.411 | 37.30 | 11 |
| 0 0 10 | 2.013 | 45.04 | 18 |
| 2 2 2 | 2.000 | 45.35 | 33 |
| 1 -3 4 | 1.639 | 56.13 | 21 |
| 3 1 -3 | 1.636 | 56.23 | 10 |
| -1 3 6 | 1.633 | 56.35 | 25 |
| 2 2 12 | 1.416 | 65.98 | 15 |



# 2
Diffraction record for MgTeWO6. The XRD peak list is theoretical, not measured: it uses a DFT-relaxed cell (PBE+U, the Materials Project) and a wavelength of 1.5418 Å.
Kinematic intensities with the Lorentz-polarization factor, no thermal factor.

Cell and atoms:
Cell: 5.297 5.297 6.031 Å, 115.88 90.09 119.96°
Space group P1 (No. 1)
Inequivalent atoms, fractional coordinates:
Mg: 0.000 0.000 0.000
Te: 0.787 0.572 0.360
W: 0.307 0.612 0.918
O: 0.065 0.478 0.181
O: 0.195 0.176 0.757
O: 0.414 0.116 0.181
O: 0.582 0.777 0.757
O: 0.702 0.768 0.182
O: 0.981 0.564 0.759

Main lines, in order of rising 2θ (10° ≤ 2θ ≤ 90°):
| hkl | d [Å] | 2theta | intensity |
| --- | --- | --- | --- |
| 0 0 1 | 5.207 | 17.03 | 12 |
| 1 0 -1 | 3.956 | 22.47 | 100 |
| 0 1 -2 | 2.974 | 30.05 | 49 |
| 2 -1 0 | 2.649 | 33.84 | 33 |
| 1 -2 0 | 2.361 | 38.11 | 8 |
| 0 2 -2 | 2.201 | 41.00 | 15 |
| 2 0 -2 | 1.979 | 45.84 | 12 |
| -1 2 1 | 1.859 | 49.00 | 14 |
| 1 1 -3 | 1.855 | 49.12 | 15 |
| 1 2 -1 | 1.693 | 54.17 | 14 |
| 2 -3 0 | 1.585 | 58.20 | 14 |
| 3 0 -1 | 1.529 | 60.54 | 12 |